RbBeCoF6: theoretical powder diffractogram (λ = 1.5418 Å (Cu Kα)), based on DFT lattice parameters and positions (GGA+U).

Largest 10 diffraction maxima, sorted by position, 2θ from 10° to 90°:
- (0 0 1), 2θ 14.15, I 10
- (1 0 0), 2θ 21.19, I 12
- (1 0 1), 2θ 25.58, I 100
- (1 0 2), 2θ 35.81, I 13
- (1 1 1), 2θ 39.94, I 13
- (2 0 1), 2θ 45.64, I 14
- (2 -1 2), 2θ 47.49, I 35
- (1 0 3), 2θ 48.76, I 12
- (3 -1 1), 2θ 60.25, I 16
- (2 0 3), 2θ 62.85, I 10

Structure:
```
data_RbBeCoF6
_chemical_formula_sum 'Rb1 Be1 Co1 F6'
_cell_length_a 4.8410
_cell_length_b 4.8410
_cell_length_c 6.2578
_cell_angle_alpha 90.00
_cell_angle_beta 90.00
_cell_angle_gamma 120.00
_symmetry_space_group_name_H-M 'P 3 1 2'
_symmetry_Int_Tables_number 149
_symmetry_space_group_name_Hall 'P 3 2'
loop_
_atom_site_label
_atom_site_type_symbol
_atom_site_fract_x
_atom_site_fract_y
_atom_site_fract_z
Rb1 Rb 0.0000 0.0000 0.0000
Be1 Be 0.6667 0.3333 0.5000
Co1 Co 0.3333 0.6667 0.5000
F1 F 0.3810 0.0138 0.6611
```